1.
Starting from a DFT-relaxed cell (PBE, Alexandria), the XRD peak list of V2Ni3Pt3 was computed for λ = 1.5418 Å (Cu Kα).
No peak broadening, texture or thermal motion is included.

Main lines, in order of rising 2θ (2θ = 5–70°):
2θ 21.5, rel. 344, hkl 1 1 0
2θ 27.9, rel. 57, hkl 1 1 -1
2θ 31.9, rel. 226, hkl 4 0 -1
2θ 32.7, rel. 133, hkl 3 1 -1
2θ 39.5, rel. 361, hkl 2 0 -2
2θ 40.3, rel. 342, hkl 0 2 0
2θ 44.3, rel. 1000, hkl 3 1 1
2θ 45.4, rel. 105, hkl 1 1 -2
2θ 52.3, rel. 120, hkl 4 2 -1
2θ 57.7, rel. 235, hkl 2 2 -2

Cell and atoms:
```
data_V2Ni3Pt3
_space_group_name_H-M_alt 'C 1 2/m 1'
_space_group_IT_number 12
_cell_length_a 11.5836
_cell_length_b 4.4776
_cell_length_c 4.5615
_cell_angle_alpha 90.00
_cell_angle_beta 113.16
_cell_angle_gamma 90.00
loop_
_space_group_symop_operation_xyz
'x,y,z'
'-x,-y,-z'
'-x,y,-z'
'x,-y,z'
'x+1/2,y+1/2,z'
'-x+1/2,-y+1/2,-z'
'-x+1/2,y+1/2,-z'
'x+1/2,-y+1/2,z'
loop_
_atom_site_label
_atom_site_fract_x
_atom_site_fract_y
_atom_site_fract_z
V1 0.2494 0.0000 0.2498
Ni1 0.0000 0.0000 0.0000
Ni2 0.1203 0.0000 0.6215
Pt1 0.0000 0.5000 0.5000
Pt2 0.1368 0.5000 0.1363
```



2.
Starting from a DFT-relaxed cell (PBE, Alexandria), the XRD peak list of VNi5Pt was computed for λ = 1.5418 Å (Cu Kα).
No peak broadening, texture or thermal motion is included.

Main lines, in order of rising 2θ (2θ = 5–70°):
2θ 18.4, rel. 209, hkl 1 0 1
2θ 25.5, rel. 164, hkl 2 0 0
2θ 26.7, rel. 113, hkl 0 0 2
2θ 30.0, rel. 170, hkl 1 2 1
2θ 35.0, rel. 153, hkl 2 2 0
2θ 42.3, rel. 103, hkl 0 1 3
2θ 44.5, rel. 1000, hkl 2 2 2
2θ 48.1, rel. 209, hkl 0 4 0
2θ 52.4, rel. 169, hkl 4 0 0
2θ 55.0, rel. 123, hkl 0 0 4

Cell and atoms:
```
data_VNi5Pt
_space_group_name_H-M_alt 'I m m a'
_space_group_IT_number 74
_space_group_name_Hall '-I 2b 2'
_cell_length_a 6.9848
_cell_length_b 7.5656
_cell_length_c 6.6825
_cell_angle_alpha 90.00
_cell_angle_beta 90.00
_cell_angle_gamma 90.00
loop_
_atom_site_label
_atom_site_fract_x
_atom_site_fract_y
_atom_site_fract_z
V1 0.2500 0.2500 0.2500
Ni1 0.0000 0.0198 0.2431
Ni2 0.0000 0.2500 0.9718
Ni3 0.2472 0.0000 0.0000
Pt1 0.0000 0.2500 0.5382
```



3.
Starting from a DFT-relaxed cell (PBE, Alexandria), the XRD peak list of VNi12Pt3 was computed for λ = 1.5418 Å (Cu Kα).
No peak broadening, texture or thermal motion is included.

Main lines, in order of rising 2θ (2θ = 5–70°):
2θ 17.3, rel. 132, hkl 1 1 0
2θ 27.5, rel. 426, hkl 2 1 1
2θ 30.1, rel. 82, hkl 1 2 2
2θ 43.1, rel. 1000, hkl 0 4 2
2θ 43.3, rel. 329, hkl 0 0 6
2θ 44.9, rel. 58, hkl 3 2 1
2θ 45.1, rel. 60, hkl 1 2 5
2θ 50.3, rel. 630, hkl 4 0 4
2θ 58.1, rel. 58, hkl 3 3 3
2θ 69.6, rel. 55, hkl 1 6 1

Cell and atoms:
```
data_VNi12Pt3
_space_group_name_H-M_alt 'R -3 c'
_space_group_IT_number 167
_space_group_name_Hall '-R 3 2"c'
_cell_length_a 10.2856
_cell_length_b 10.2856
_cell_length_c 12.5347
_cell_angle_alpha 90.00
_cell_angle_beta 90.00
_cell_angle_gamma 120.00
loop_
_atom_site_label
_atom_site_fract_x
_atom_site_fract_y
_atom_site_fract_z
V1 0.0000 0.0000 0.2500
Ni1 0.0000 0.2506 0.2500
Ni2 0.0000 0.4988 0.2500
Ni3 0.0794 0.1620 0.4184
Pt1 0.0000 0.2485 0.7500
```



4.
Starting from a DFT-relaxed cell (PBE, Alexandria), the XRD peak list of Ni5Pt5W2 was computed for λ = 1.5418 Å (Cu Kα).
No peak broadening, texture or thermal motion is included.

Main lines, in order of rising 2θ (2θ = 5–70°):
2θ 16.2, rel. 105, hkl 2 0 -1
2θ 17.4, rel. 79, hkl 2 0 0
2θ 25.2, rel. 103, hkl 1 1 0
2θ 40.9, rel. 1000, hkl 3 1 1
2θ 41.2, rel. 993, hkl 3 1 -3
2θ 46.9, rel. 339, hkl 0 0 4
2θ 48.2, rel. 627, hkl 0 2 0
2θ 69.2, rel. 104, hkl 6 0 2
2θ 69.5, rel. 208, hkl 0 2 4
2θ 69.9, rel. 108, hkl 6 0 -6

Cell and atoms:
```
data_Ni5Pt5W2
_space_group_name_H-M_alt 'C 1 2/m 1'
_space_group_IT_number 12
_cell_length_a 11.3157
_cell_length_b 3.7750
_cell_length_c 8.5932
_cell_angle_alpha 90.00
_cell_angle_beta 115.51
_cell_angle_gamma 90.00
loop_
_space_group_symop_operation_xyz
'x,y,z'
'-x,-y,-z'
'-x,y,-z'
'x,-y,z'
'x+1/2,y+1/2,z'
'-x+1/2,-y+1/2,-z'
'-x+1/2,y+1/2,-z'
'x+1/2,-y+1/2,z'
loop_
_atom_site_label
_atom_site_fract_x
_atom_site_fract_y
_atom_site_fract_z
Ni1 0.0000 0.0000 0.0000
Ni2 0.1655 0.0000 0.5049
Ni3 0.2382 0.5000 0.7388
Pt1 0.0000 0.5000 0.5000
Pt2 0.0883 0.5000 0.2559
Pt3 0.1642 0.5000 0.9991
W1 0.0854 0.0000 0.7511
```



5.
Starting from a DFT-relaxed cell (PBE, Alexandria), the XRD peak list of Ni8Pt3W was computed for λ = 1.5418 Å (Cu Kα).
No peak broadening, texture or thermal motion is included.

Main lines, in order of rising 2θ (2θ = 5–70°):
2θ 8.2, rel. 303, hkl 0 0 1
2θ 19.0, rel. 335, hkl 0 1 -1
2θ 23.9, rel. 203, hkl 0 1 -2
2θ 38.4, rel. 194, hkl -1 1 1
2θ 41.9, rel. 1000, hkl 1 0 3
2θ 42.3, rel. 426, hkl 0 2 3
2θ 43.1, rel. 439, hkl 0 2 -3
2θ 48.4, rel. 310, hkl 1 2 0
2θ 48.6, rel. 307, hkl 1 -2 0
2θ 50.7, rel. 237, hkl 0 0 6

Cell and atoms:
```
data_Ni8Pt3W
_space_group_name_H-M_alt 'P 1'
_space_group_IT_number 1
_cell_length_a 2.6923
_cell_length_b 5.2403
_cell_length_c 10.8049
_cell_angle_alpha 88.91
_cell_angle_beta 89.99
_cell_angle_gamma 89.84
loop_
_space_group_symop_operation_xyz
'x,y,z'
loop_
_atom_site_label
_atom_site_fract_x
_atom_site_fract_y
_atom_site_fract_z
Ni1 0.0000 0.0000 0.0000
Ni2 0.9996 0.4816 0.3063
Ni3 0.0012 0.4762 0.9926
Ni4 0.0009 0.9926 0.6574
Ni5 0.4998 0.2454 0.1464
Ni6 0.5009 0.2373 0.8256
Ni7 0.5014 0.7192 0.1412
Ni8 0.5008 0.7443 0.4901
Pt1 0.0014 0.9684 0.3024
Pt2 0.5003 0.2423 0.4842
Pt3 0.5005 0.7468 0.8319
W1 0.0003 0.4931 0.6572
```



6.
Starting from a DFT-relaxed cell (PBE, Alexandria), the XRD peak list of Ni4Pt3W2 was computed for λ = 1.5418 Å (Cu Kα).
No peak broadening, texture or thermal motion is included.

Main lines, in order of rising 2θ (2θ = 5–70°):
2θ 15.0, rel. 249, hkl 0 1 1
2θ 38.4, rel. 315, hkl 2 0 1
2θ 39.1, rel. 241, hkl 1 2 3
2θ 41.0, rel. 822, hkl 0 2 -2
2θ 43.2, rel. 474, hkl 2 1 0
2θ 43.9, rel. 549, hkl -1 1 3
2θ 44.1, rel. 492, hkl 1 3 2
2θ 44.3, rel. 448, hkl 2 -1 2
2θ 44.5, rel. 1000, hkl -1 3 1
2θ 69.9, rel. 172, hkl 3 2 4

Cell and atoms:
```
data_Ni4Pt3W2
_space_group_name_H-M_alt 'P -1'
_space_group_IT_number 2
_cell_length_a 4.6943
_cell_length_b 6.8847
_cell_length_c 8.2738
_cell_angle_alpha 73.63
_cell_angle_beta 74.64
_cell_angle_gamma 89.15
loop_
_space_group_symop_operation_xyz
'x,y,z'
'-x,-y,-z'
loop_
_atom_site_label
_atom_site_fract_x
_atom_site_fract_y
_atom_site_fract_z
Ni1 0.0057 0.0823 0.3304
Ni2 0.2290 0.4786 0.2178
Ni3 0.3324 0.2523 0.0008
Ni4 0.4492 0.1984 0.4370
Pt1 0.0933 0.7007 0.4537
Pt2 0.2239 0.6360 0.8866
Pt3 0.4449 0.0280 0.7734
W1 0.1276 0.8657 0.1091
W2 0.3430 0.4151 0.6655
```



7.
Starting from a DFT-relaxed cell (PBE, Alexandria), the XRD peak list of Ni2Pt8W was computed for λ = 1.5418 Å (Cu Kα).
No peak broadening, texture or thermal motion is included.

Main lines, in order of rising 2θ (2θ = 5–70°):
2θ 27.8, rel. 95, hkl 2 2 0
2θ 31.7, rel. 278, hkl 2 0 1
2θ 36.0, rel. 167, hkl 2 2 1
2θ 40.7, rel. 143, hkl 2 4 0
2θ 40.8, rel. 1000, hkl 0 4 1
2θ 41.5, rel. 790, hkl 3 1 1
2θ 42.3, rel. 410, hkl 3 3 0
2θ 45.6, rel. 371, hkl 0 0 2
2θ 55.2, rel. 152, hkl 3 5 0
2θ 64.0, rel. 244, hkl 3 3 2

Cell and atoms:
```
data_Ni2Pt8W
_space_group_name_H-M_alt 'C m m m'
_space_group_IT_number 65
_space_group_name_Hall '-C 2 2'
_cell_length_a 8.0337
_cell_length_b 10.6288
_cell_length_c 3.9758
_cell_angle_alpha 90.00
_cell_angle_beta 90.00
_cell_angle_gamma 90.00
loop_
_atom_site_label
_atom_site_fract_x
_atom_site_fract_y
_atom_site_fract_z
Ni1 0.0000 0.1131 0.0000
Pt1 0.0000 0.2494 0.5000
Pt2 0.1663 0.0000 0.5000
Pt3 0.1742 0.3691 0.0000
W1 0.0000 0.5000 0.5000
```



8.
Starting from a DFT-relaxed cell (PBE, Alexandria), the XRD peak list of Ni3Pt2W2 was computed for λ = 1.5418 Å (Cu Kα).
No peak broadening, texture or thermal motion is included.

Main lines, in order of rising 2θ (2θ = 5–70°):
2θ 22.4, rel. 652, hkl 0 0 2
2θ 38.4, rel. 831, hkl 1 1 0
2θ 39.2, rel. 1000, hkl 0 2 0
2θ 40.1, rel. 154, hkl 1 0 2
2θ 40.9, rel. 141, hkl 0 2 1
2θ 44.9, rel. 911, hkl 1 1 2
2θ 45.6, rel. 526, hkl 0 2 2
2θ 47.9, rel. 340, hkl 1 0 3
2θ 50.0, rel. 173, hkl 0 1 4
2θ 53.4, rel. 234, hkl 1 2 1

Cell and atoms:
```
data_Ni3Pt2W2
_space_group_name_H-M_alt 'P m m m'
_space_group_IT_number 47
_cell_length_a 2.7246
_cell_length_b 4.5992
_cell_length_c 7.9494
_cell_angle_alpha 90.00
_cell_angle_beta 90.00
_cell_angle_gamma 90.00
loop_
_space_group_symop_operation_xyz
'x,y,z'
'-x,-y,-z'
'-x,-y,z'
'x,y,-z'
'x,-y,-z'
'-x,y,z'
'-x,y,-z'
'x,-y,z'
loop_
_atom_site_label
_atom_site_fract_x
_atom_site_fract_y
_atom_site_fract_z
Ni1 0.0000 0.0000 0.0000
Ni2 0.0000 0.2597 0.5000
Pt1 0.0000 0.5000 0.1766
W1 0.5000 0.0000 0.2742
```



9.
Starting from a DFT-relaxed cell (PBE, Alexandria), the XRD peak list of Ni6Pt3W was computed for λ = 1.5418 Å (Cu Kα).
No peak broadening, texture or thermal motion is included.

Main lines, in order of rising 2θ (2θ = 5–70°):
2θ 21.4, rel. 164, hkl 1 0 1
2θ 22.9, rel. 274, hkl 1 0 -2
2θ 29.7, rel. 216, hkl 2 0 0
2θ 37.3, rel. 264, hkl 1 2 0
2θ 41.4, rel. 786, hkl 1 2 -2
2θ 43.6, rel. 1000, hkl 3 0 -2
2θ 44.1, rel. 491, hkl 1 0 -4
2θ 45.8, rel. 275, hkl 2 2 0
2θ 46.8, rel. 319, hkl 1 2 2
2θ 46.8, rel. 233, hkl 2 2 -2

Cell and atoms:
```
data_Ni6Pt3W
_space_group_name_H-M_alt 'P 1 21 1'
_space_group_IT_number 4
_cell_length_a 6.3574
_cell_length_b 5.2681
_cell_length_c 8.2176
_cell_angle_alpha 90.00
_cell_angle_beta 108.80
_cell_angle_gamma 90.00
loop_
_space_group_symop_operation_xyz
'x,y,z'
'-x,y+1/2,-z'
loop_
_atom_site_label
_atom_site_fract_x
_atom_site_fract_y
_atom_site_fract_z
Ni1 0.0003 0.0000 0.0022
Ni2 0.0025 0.7531 0.5029
Ni3 0.2295 0.4959 0.7883
Ni4 0.3559 0.2506 0.0856
Ni5 0.4023 0.2554 0.6045
Ni6 0.4069 0.7516 0.6134
Pt1 0.2036 0.5034 0.3207
Pt2 0.2112 0.0033 0.3221
Pt3 0.3698 0.7456 0.0816
W1 0.2295 0.0017 0.7922
```



10.
Starting from a DFT-relaxed cell (PBE, Alexandria), the XRD peak list of Ni8Pt2W3 was computed for λ = 1.5418 Å (Cu Kα).
No peak broadening, texture or thermal motion is included.

Main lines, in order of rising 2θ (2θ = 5–70°):
2θ 19.0, rel. 174, hkl 0 0 6
2θ 27.4, rel. 454, hkl 0 1 5
2θ 39.0, rel. 784, hkl 1 1 0
2θ 40.2, rel. 130, hkl 1 1 3
2θ 42.0, rel. 1000, hkl 0 1 11
2θ 43.7, rel. 628, hkl 1 1 6
2θ 45.8, rel. 234, hkl 2 0 2
2θ 47.9, rel. 149, hkl 1 0 13
2θ 48.3, rel. 288, hkl 2 0 5
2θ 51.0, rel. 126, hkl 0 2 7

Cell and atoms:
```
data_Ni8Pt2W3
_space_group_name_H-M_alt 'R -3 m'
_space_group_IT_number 166
_space_group_name_Hall '-R 3 2"'
_cell_length_a 4.6204
_cell_length_b 4.6204
_cell_length_c 28.0362
_cell_angle_alpha 90.00
_cell_angle_beta 90.00
_cell_angle_gamma 120.00
loop_
_atom_site_label
_atom_site_fract_x
_atom_site_fract_y
_atom_site_fract_z
Ni1 0.0000 0.0000 0.2284
Ni2 0.9999 0.5000 0.2708
Pt1 0.0000 0.0000 0.1409
W1 0.0000 0.0000 0.3160
W2 0.0000 0.0000 0.5000
```



11.
Starting from a DFT-relaxed cell (PBE, Alexandria), the XRD peak list of Y8Ni2Pt was computed for λ = 1.5418 Å (Cu Kα).
No peak broadening, texture or thermal motion is included.

Main lines, in order of rising 2θ (2θ = 5–70°):
2θ 17.6, rel. 413, hkl 1 1 -1
2θ 30.7, rel. 994, hkl 1 3 1
2θ 31.3, rel. 763, hkl 2 0 1
2θ 32.6, rel. 1000, hkl 0 4 1
2θ 33.6, rel. 868, hkl 3 1 -1
2θ 34.6, rel. 730, hkl 0 2 2
2θ 35.6, rel. 549, hkl 2 2 -2
2θ 36.6, rel. 720, hkl 2 4 0
2θ 39.5, rel. 609, hkl 1 5 -1
2θ 40.5, rel. 449, hkl 3 3 0

Cell and atoms:
```
data_Y8Ni2Pt
_space_group_name_H-M_alt 'C 1 m 1'
_space_group_IT_number 8
_cell_length_a 8.3045
_cell_length_b 12.5273
_cell_length_c 5.9973
_cell_angle_alpha 90.00
_cell_angle_beta 108.08
_cell_angle_gamma 90.00
loop_
_space_group_symop_operation_xyz
'x,y,z'
'x,-y,z'
'x+1/2,y+1/2,z'
'x+1/2,-y+1/2,z'
loop_
_atom_site_label
_atom_site_fract_x
_atom_site_fract_y
_atom_site_fract_z
Y1 0.0000 0.0000 0.0000
Y2 0.0732 0.3687 0.7898
Y3 0.1540 0.1317 0.5895
Y4 0.2267 0.5000 0.3646
Y5 0.3653 0.2172 0.1837
Ni1 0.3620 0.3098 0.6809
Pt1 0.3632 0.0000 0.0130
```



12.
Starting from a DFT-relaxed cell (PBE, Alexandria), the XRD peak list of Zn3NiPt was computed for λ = 1.5418 Å (Cu Kα).
No peak broadening, texture or thermal motion is included.

Main lines, in order of rising 2θ (2θ = 5–70°):
2θ 21.3, rel. 125, hkl 1 0 1
2θ 24.1, rel. 248, hkl 0 1 1
2θ 25.5, rel. 125, hkl 1 1 0
2θ 28.2, rel. 187, hkl 1 0 2
2θ 41.2, rel. 1000, hkl 1 1 3
2θ 41.3, rel. 993, hkl 2 0 1
2θ 46.6, rel. 349, hkl -1 1 2
2θ 46.7, rel. 346, hkl 1 -1 3
2θ 50.6, rel. 289, hkl 2 2 1
2θ 67.9, rel. 108, hkl 0 0 5

Cell and atoms:
```
data_Zn3NiPt
_space_group_name_H-M_alt 'P -1'
_space_group_IT_number 2
_cell_length_a 4.5310
_cell_length_b 4.5354
_cell_length_c 7.2626
_cell_angle_alpha 85.20
_cell_angle_beta 71.98
_cell_angle_gamma 74.60
loop_
_space_group_symop_operation_xyz
'x,y,z'
'-x,-y,-z'
loop_
_atom_site_label
_atom_site_fract_x
_atom_site_fract_y
_atom_site_fract_z
Zn1 0.0511 0.2497 0.3985
Zn2 0.2491 0.2500 0.0010
Zn3 0.4472 0.2502 0.6067
Ni1 0.1466 0.7496 0.2065
Pt1 0.3499 0.7503 0.7999
```